Record 1
Structure and simulated powder XRD pattern of LiSbTe2WO12 (a structure optimized by DFT (PBE+U); a wavelength of 1.5418 Å).
No peak broadening, texture or thermal motion is included.

Atomic structure:
```
LiSbTe2WO12
1.0
5.149 0.000 0.000
-0.008 5.342 0.000
-0.024 -0.391 7.426
Li Sb Te W O
1 1 2 1 12
direct
0.000 0.000 0.000
0.500 0.032 0.730
0.001 0.529 0.733
0.503 0.034 0.238
0.004 0.535 0.239
0.106 0.536 0.988
0.176 0.217 0.676
0.194 0.843 0.288
0.306 0.340 0.290
0.309 0.712 0.671
0.375 0.034 0.992
0.631 0.033 0.478
0.696 0.345 0.801
0.702 0.733 0.176
0.810 0.223 0.172
0.820 0.841 0.797
0.886 0.534 0.482
```

Peak list (12 most intense, 10° ≤ 2θ ≤ 90°, low angle first)
24.00°, I 100.0; 33.56°, I 34.7; 34.81°, I 16.2; 34.88°, I 8.1; 42.79°, I 9.6; 49.10°, I 11.1; 54.47°, I 8.1; 54.55°, I 12.3; 56.30°, I 8.6; 59.17°, I 6.9; 61.64°, I 6.7; 62.39°, I 6.3

=====

Record 2
Structure and simulated powder XRD pattern of Li4Ti3V3Sb2O16 (a structure optimized by DFT (PBE+U); a wavelength of 1.5418 Å).
No peak broadening, texture or thermal motion is included.

Atomic structure:
```
Li4Ti3V3Sb2O16
1.0
5.151 -2.968 0.000
5.151 2.968 0.000
-0.045 0.000 10.492
Li Ti V Sb O
4 3 3 2 16
direct
0.000 0.000 0.000
0.006 0.006 0.491
0.333 0.333 0.403
0.668 0.668 0.891
0.172 0.663 0.719
0.663 0.172 0.719
0.829 0.829 0.229
0.177 0.177 0.715
0.357 0.818 0.222
0.818 0.357 0.222
0.330 0.330 0.018
0.669 0.669 0.506
0.001 0.001 0.814
0.002 0.002 0.311
0.020 0.496 0.813
0.156 0.156 0.118
0.163 0.683 0.112
0.309 0.854 0.606
0.343 0.343 0.608
0.493 0.493 0.814
0.496 0.020 0.813
0.512 0.512 0.328
0.517 0.976 0.330
0.673 0.673 0.110
0.683 0.163 0.112
0.850 0.850 0.603
0.854 0.309 0.606
0.976 0.517 0.330
```

Peak list (12 most intense, 10° ≤ 2θ ≤ 90°, low angle first)
16.90°, I 20.9; 19.21°, I 100.0; 24.22°, I 24.8; 30.88°, I 31.2; 30.96°, I 28.2; 34.68°, I 41.0; 34.76°, I 23.9; 35.92°, I 21.8; 54.00°, I 15.6; 56.46°, I 20.1; 56.68°, I 20.1; 62.50°, I 17.0